Li10Cd3: computed X-ray diffraction stick pattern (Cu Kα X-rays), based on a cell relaxed with PBE.
Intensities are scaled so that the largest is 100.

Structure:
```
data_Li10Cd3
_space_group_name_H-M_alt 'P 63/m m c'
_space_group_IT_number 194
_space_group_name_Hall '-P 6c 2c'
_cell_length_a 8.2397
_cell_length_b 8.2397
_cell_length_c 7.9610
_cell_angle_alpha 90.00
_cell_angle_beta 90.00
_cell_angle_gamma 120.00
loop_
_atom_site_label
_atom_site_fract_x
_atom_site_fract_y
_atom_site_fract_z
Li1 0.0000 0.0000 0.0000
Li2 0.0942 0.5471 0.2500
Li3 0.2113 0.4225 0.5699
Cd1 0.1224 0.2448 0.2500
```

The 10 most intense peaks (2θ from 10° to 80°), in order of rising 2θ:
2θ/deg	I (rel.)
12.40	100
22.33	37
25.63	36
27.39	54
35.13	29
39.54	42
40.40	16
42.45	20
47.37	15
61.22	16